No. 1
The following is a theoretical X-ray powder pattern of K2YCl5. It was derived from the GGA-PBE geometry in Alexandria, using Cu Ka.

Crystal structure
```
data_K2YCl5
_chemical_formula_sum 'K8 Y4 Cl20'
_space_group_name_H-M_alt 'P n m a'
_space_group_IT_number 62
_space_group_name_Hall '-P 2ac 2n'
_cell_length_a 12.9470
_cell_length_b 8.6288
_cell_length_c 8.0825
_cell_angle_alpha 90.00
_cell_angle_beta 90.00
_cell_angle_gamma 90.00
loop_
_atom_site_label
_atom_site_type_symbol
_atom_site_fract_x
_atom_site_fract_y
_atom_site_fract_z
K1 K 0.1717 0.0040 0.0545
Y1 Y 0.0047 0.2500 0.5730
Cl1 Cl 0.0120 0.2500 0.9099
Cl2 Cl 0.0720 0.5432 0.6618
Cl3 Cl 0.1758 0.2500 0.3846
Cl4 Cl 0.1966 0.7500 0.3447
```

Peak list (10 most intense, 2θ from 10° to 90°, low angle first)
- (1 0 1), 6.856 Å, 12.91 deg, I = 100
- (2 0 0), 6.473 Å, 13.68 deg, I = 56
- (1 2 1), 3.652 Å, 24.38 deg, I = 57
- (4 0 1), 3.005 Å, 29.73 deg, I = 65
- (1 2 2), 2.876 Å, 31.10 deg, I = 94
- (2 2 2), 2.684 Å, 33.38 deg, I = 72
- (4 2 0), 2.589 Å, 34.65 deg, I = 54
- (2 1 3), 2.390 Å, 37.64 deg, I = 55
- (0 4 0), 2.157 Å, 41.88 deg, I = 74
- (5 2 1), 2.141 Å, 42.21 deg, I = 55



No. 2
The following is a theoretical X-ray powder pattern of NdZnAg3. It was derived from the GGA-PBE geometry in Alexandria, using Cu Ka.

Crystal structure
```
data_NdZnAg3
_chemical_formula_sum 'Nd2 Zn2 Ag6'
_space_group_name_H-M_alt 'P 1 21/m 1'
_space_group_IT_number 11
_space_group_name_Hall '-P 2yb'
_cell_length_a 5.8409
_cell_length_b 5.8521
_cell_length_c 6.0873
_cell_angle_alpha 90.00
_cell_angle_beta 93.75
_cell_angle_gamma 90.00
loop_
_atom_site_label
_atom_site_type_symbol
_atom_site_fract_x
_atom_site_fract_y
_atom_site_fract_z
Nd1 Nd 0.1620 0.2500 0.1727
Zn1 Zn 0.0621 0.7500 0.3578
Ag1 Ag 0.3228 0.5016 0.6560
Ag2 Ag 0.3626 0.7500 0.0600
```

Peak list (10 most intense, 2θ from 10° to 90°, low angle first)
- (1 0 -2), 2.769 Å, 32.33 deg, I = 23
- (2 0 -1), 2.697 Å, 33.22 deg, I = 31
- (0 2 1), 2.636 Å, 34.01 deg, I = 41
- (1 0 2), 2.624 Å, 34.17 deg, I = 49
- (2 1 0), 2.611 Å, 34.34 deg, I = 41
- (2 0 1), 2.563 Å, 35.01 deg, I = 20
- (1 1 -2), 2.503 Å, 35.88 deg, I = 51
- (2 1 -1), 2.450 Å, 36.69 deg, I = 42
- (1 2 1), 2.377 Å, 37.86 deg, I = 100
- (0 4 0), 1.463 Å, 63.61 deg, I = 22



No. 3
The following is a theoretical X-ray powder pattern of CaAuSe. It was derived from the GGA-PBE geometry in Alexandria, using Cu Ka.

Crystal structure
```
data_CaAuSe
_chemical_formula_sum 'Ca1 Au1 Se1'
_space_group_name_H-M_alt 'P 4 m m'
_space_group_IT_number 99
_space_group_name_Hall 'P 4 -2'
_cell_length_a 3.9041
_cell_length_b 3.9041
_cell_length_c 5.3884
_cell_angle_alpha 90.00
_cell_angle_beta 90.00
_cell_angle_gamma 90.00
loop_
_atom_site_label
_atom_site_type_symbol
_atom_site_fract_x
_atom_site_fract_y
_atom_site_fract_z
Ca1 Ca 0.0000 0.0000 0.0000
Au1 Au 0.5000 0.5000 0.3288
Se1 Se 0.5000 0.5000 0.8123
```

Peak list (10 most intense, 2θ from 10° to 90°, low angle first)
- (1 0 0), 3.904 Å, 22.78 deg, I = 100
- (1 0 1), 3.162 Å, 28.23 deg, I = 46
- (1 1 0), 2.761 Å, 32.43 deg, I = 78
- (0 0 2), 2.694 Å, 33.25 deg, I = 23
- (1 0 2), 2.217 Å, 40.69 deg, I = 75
- (2 0 0), 1.952 Å, 46.52 deg, I = 28
- (1 1 2), 1.928 Å, 47.13 deg, I = 35
- (2 1 0), 1.746 Å, 52.40 deg, I = 22
- (2 0 2), 1.581 Å, 58.38 deg, I = 19
- (2 1 2), 1.465 Å, 63.49 deg, I = 40



No. 4
The following is a theoretical X-ray powder pattern of Li2VNi8. It was derived from the GGA-PBE geometry in Alexandria, using Cu Ka.

Crystal structure
```
data_Li2VNi8
_chemical_formula_sum 'Li4 V2 Ni16'
_space_group_name_H-M_alt 'C m m m'
_space_group_IT_number 65
_space_group_name_Hall '-C 2 2'
_cell_length_a 7.1534
_cell_length_b 9.2115
_cell_length_c 3.7947
_cell_angle_alpha 90.00
_cell_angle_beta 90.00
_cell_angle_gamma 90.00
loop_
_atom_site_label
_atom_site_type_symbol
_atom_site_fract_x
_atom_site_fract_y
_atom_site_fract_z
Li1 Li 0.0000 0.1162 0.0000
V1 V 0.0000 0.5000 0.5000
Ni1 Ni 0.0000 0.2425 0.5000
Ni2 Ni 0.1708 0.3662 0.0000
Ni3 Ni 0.1722 0.0000 0.5000
```

Peak list (10 most intense, 2θ from 10° to 90°, low angle first)
- (1 1 0), 5.650 Å, 15.68 deg, I = 10
- (1 1 1), 3.150 Å, 28.33 deg, I = 12
- (2 2 0), 2.824 Å, 31.69 deg, I = 13
- (2 0 1), 2.603 Å, 34.46 deg, I = 23
- (2 2 1), 2.266 Å, 39.79 deg, I = 21
- (0 4 1), 1.970 Å, 46.07 deg, I = 100
- (0 0 2), 1.897 Å, 47.95 deg, I = 26
- (3 3 0), 1.883 Å, 48.33 deg, I = 26
- (3 3 2), 1.337 Å, 70.45 deg, I = 15
- (0 4 3), 1.109 Å, 88.08 deg, I = 14